Computed powder diffractogram
Compound: Nd3AuO6
Radiation: λ = 1.5418 Å (Cu Kα)
Structure: DFT lattice parameters and positions (GGA-PBE)

The 12 most intense peaks (2θ from 5° to 70°), sorted by position:
two_theta  intensity
24.65  21
28.59  100
29.22  77
30.00  97
30.54  89
31.15  58
31.45  61
39.73  31
44.84  75
50.78  22
53.02  33
55.80  33

Structure:
```
data_Nd3AuO6
_chemical_formula_sum 'Nd3 Au1 O6'
_space_group_name_H-M_alt 'P 1'
_space_group_IT_number 1
_space_group_name_Hall 'P 1'
_cell_length_a 3.7812
_cell_length_b 5.6917
_cell_length_c 7.1014
_cell_angle_alpha 90.84
_cell_angle_beta 103.38
_cell_angle_gamma 91.12
loop_
_atom_site_label
_atom_site_fract_x
_atom_site_fract_y
_atom_site_fract_z
_atom_site_occupancy
Nd1 0.0000 0.0000 0.0000 1
Nd2 0.3894 0.4740 0.7325 1
Nd3 0.6106 0.5260 0.2675 1
Au1 0.0000 0.0000 0.5000 1
O1 0.1344 0.7878 0.2991 1
O2 0.1542 0.2952 0.3774 1
O3 0.4850 0.7451 0.9827 1
O4 0.5150 0.2549 0.0173 1
O5 0.8458 0.7048 0.6226 1
O6 0.8656 0.2122 0.7009 1
```

Computed powder diffractogram
Compound: NdAu2O4
Radiation: λ = 1.5418 Å (Cu Kα)
Structure: DFT lattice parameters and positions (GGA-PBE)

The 12 most intense peaks (2θ from 5° to 70°), sorted by position:
two_theta  intensity
16.84  19
17.02  21
29.90  51
30.00  50
33.47  55
33.75  35
34.06  73
34.41  100
34.65  51
46.68  40
55.12  35
56.33  35

Structure:
```
data_NdAu2O4
_chemical_formula_sum 'Nd2 Au4 O8'
_space_group_name_H-M_alt 'P 1'
_space_group_IT_number 1
_space_group_name_Hall 'P 1'
_cell_length_a 6.6545
_cell_length_b 6.6545
_cell_length_c 6.0491
_cell_angle_alpha 116.02
_cell_angle_beta 116.02
_cell_angle_gamma 100.97
loop_
_atom_site_label
_atom_site_fract_x
_atom_site_fract_y
_atom_site_fract_z
_atom_site_occupancy
Nd1 0.1243 0.8757 0.7500 1
Nd2 0.8757 0.1243 0.2500 1
Au1 0.0000 0.5000 0.0000 1
Au2 0.5000 0.0000 0.5000 1
Au3 0.5000 0.5000 0.0000 1
Au4 0.5000 0.5000 0.5000 1
O1 0.1143 0.2598 0.0810 1
O2 0.1514 0.5158 0.7757 1
O3 0.2598 0.1143 0.5810 1
O4 0.4842 0.8486 0.7243 1
O5 0.5158 0.1514 0.2757 1
O6 0.7402 0.8857 0.4190 1
O7 0.8486 0.4842 0.2243 1
O8 0.8857 0.7402 0.9190 1
```

Computed powder diffractogram
Compound: NdAuSeO
Radiation: λ = 1.5418 Å (Cu Kα)
Structure: DFT lattice parameters and positions (GGA-PBE)

The 12 most intense peaks (2θ from 5° to 70°), sorted by position:
two_theta  intensity
9.24  71
18.55  44
27.98  41
28.65  93
30.76  100
32.23  95
35.64  48
36.20  74
42.07  46
45.16  77
48.23  45
49.38  34

Structure:
```
data_NdAuSeO
_chemical_formula_sum 'Nd4 Au4 Se4 O4'
_space_group_name_H-M_alt 'P 1'
_space_group_IT_number 1
_space_group_name_Hall 'P 1'
_cell_length_a 19.1355
_cell_length_b 4.1070
_cell_length_c 4.1070
_cell_angle_alpha 89.89
_cell_angle_beta 90.00
_cell_angle_gamma 90.00
loop_
_atom_site_label
_atom_site_fract_x
_atom_site_fract_y
_atom_site_fract_z
_atom_site_occupancy
Nd1 0.0612 0.2501 0.7499 1
Nd2 0.4388 0.7501 0.2499 1
Nd3 0.5612 0.2499 0.7501 1
Nd4 0.9388 0.7499 0.2501 1
Au1 0.2498 0.0049 0.0006 1
Au2 0.2502 0.5049 0.5006 1
Au3 0.7502 0.0006 0.0049 1
Au4 0.7498 0.5006 0.5049 1
Se1 0.1421 0.7519 0.2494 1
Se2 0.3579 0.2519 0.7494 1
Se3 0.6421 0.7494 0.2519 1
Se4 0.8579 0.2494 0.7519 1
O1 0.0000 0.2500 0.2500 1
O2 0.0000 0.7501 0.7501 1
O3 0.5000 0.2501 0.2501 1
O4 0.5000 0.7500 0.7500 1
```

Computed powder diffractogram
Compound: NdAuSeO
Radiation: λ = 1.5418 Å (Cu Kα)
Structure: DFT lattice parameters and positions (GGA-PBE)

The 12 most intense peaks (2θ from 5° to 70°), sorted by position:
two_theta  intensity
9.23  71
18.53  44
27.95  41
28.64  93
30.78  100
32.25  95
35.63  48
36.21  74
42.06  46
45.18  77
48.24  45
49.36  34

Structure:
```
data_NdAuSeO
_chemical_formula_sum 'Nd4 Au4 Se4 O4'
_space_group_name_H-M_alt 'P 1'
_space_group_IT_number 1
_space_group_name_Hall 'P 1'
_cell_length_a 5.7995
_cell_length_b 5.8098
_cell_length_c 9.5777
_cell_angle_alpha 90.00
_cell_angle_beta 90.00
_cell_angle_gamma 90.00
loop_
_atom_site_label
_atom_site_fract_x
_atom_site_fract_y
_atom_site_fract_z
_atom_site_occupancy
Nd1 0.0000 0.0000 0.0000 1
Nd2 0.0000 0.5000 0.2449 1
Nd3 0.5000 0.0000 0.2449 1
Nd4 0.5000 0.5000 0.0000 1
Au1 0.2499 0.0028 0.6231 1
Au2 0.2501 0.5028 0.6231 1
Au3 0.7499 0.4972 0.6231 1
Au4 0.7501 0.9972 0.6231 1
Se1 0.0000 0.0000 0.4070 1
Se2 0.0000 0.5000 0.8390 1
Se3 0.5000 0.0000 0.8390 1
Se4 0.5000 0.5000 0.4070 1
O1 0.2501 0.2499 0.1226 1
O2 0.2499 0.7499 0.1226 1
O3 0.7501 0.2501 0.1226 1
O4 0.7499 0.7501 0.1226 1
```

Computed powder diffractogram
Compound: NdAuSeO
Radiation: λ = 1.5418 Å (Cu Kα)
Structure: DFT lattice parameters and positions (GGA-PBE)

The 12 most intense peaks (2θ from 5° to 70°), sorted by position:
two_theta  intensity
9.24  71
18.54  44
27.96  41
28.64  93
30.76  100
32.24  95
35.63  48
36.21  74
42.06  46
45.17  77
48.23  45
49.37  34

Structure:
```
data_NdAuSeO
_chemical_formula_sum 'Nd4 Au4 Se4 O4'
_space_group_name_H-M_alt 'P 1'
_space_group_IT_number 1
_space_group_name_Hall 'P 1'
_cell_length_a 5.7997
_cell_length_b 5.8139
_cell_length_c 9.5731
_cell_angle_alpha 90.00
_cell_angle_beta 90.00
_cell_angle_gamma 90.00
loop_
_atom_site_label
_atom_site_fract_x
_atom_site_fract_y
_atom_site_fract_z
_atom_site_occupancy
Nd1 0.0000 0.2500 0.1225 1
Nd2 0.0000 0.7500 0.8775 1
Nd3 0.5000 0.2500 0.8775 1
Nd4 0.5000 0.7500 0.1225 1
Au1 0.2500 0.2500 0.5000 1
Au2 0.2500 0.7500 0.5000 1
Au3 0.7500 0.2500 0.5000 1
Au4 0.7500 0.7500 0.5000 1
Se1 0.0000 0.2500 0.7157 1
Se2 0.0000 0.7500 0.2843 1
Se3 0.5000 0.2500 0.2843 1
Se4 0.5000 0.7500 0.7157 1
O1 0.2500 0.0000 0.0000 1
O2 0.2500 0.5000 0.0000 1
O3 0.7500 0.0000 0.0000 1
O4 0.7500 0.5000 0.0000 1
```

Computed powder diffractogram
Compound: Nd2OsAu3
Radiation: λ = 1.5418 Å (Cu Kα)
Structure: DFT lattice parameters and positions (GGA-PBE)

The 12 most intense peaks (2θ from 5° to 70°), sorted by position:
two_theta  intensity
19.23  15
29.02  12
30.13  33
32.70  10
34.15  100
37.33  71
38.22  34
44.28  12
46.92  45
56.78  11
61.44  33
68.53  15

Structure:
```
data_Nd2OsAu3
_chemical_formula_sum 'Nd2 Os1 Au3'
_space_group_name_H-M_alt 'P 1'
_space_group_IT_number 1
_space_group_name_Hall 'P 1'
_cell_length_a 3.8727
_cell_length_b 3.8727
_cell_length_c 9.2293
_cell_angle_alpha 90.00
_cell_angle_beta 90.00
_cell_angle_gamma 90.00
loop_
_atom_site_label
_atom_site_fract_x
_atom_site_fract_y
_atom_site_fract_z
_atom_site_occupancy
Nd1 0.0000 0.5000 0.2503 1
Nd2 0.5000 0.0000 0.7497 1
Os1 0.0000 0.0000 0.5000 1
Au1 0.0000 0.5000 0.9133 1
Au2 0.5000 0.0000 0.0867 1
Au3 0.5000 0.5000 0.5000 1
```

Computed powder diffractogram
Compound: NdPbAu
Radiation: λ = 1.5418 Å (Cu Kα)
Structure: DFT lattice parameters and positions (GGA-PBE)

The 12 most intense peaks (2θ from 5° to 70°), sorted by position:
two_theta  intensity
23.18  13
24.08  22
31.52  95
36.92  100
41.27  38
44.05  16
49.31  28
56.56  15
63.16  27
64.61  16
66.52  18
69.48  17

Structure:
```
data_NdPbAu
_chemical_formula_sum 'Nd2 Pb2 Au2'
_space_group_name_H-M_alt 'P 1'
_space_group_IT_number 1
_space_group_name_Hall 'P 1'
_cell_length_a 4.8695
_cell_length_b 4.8695
_cell_length_c 7.6753
_cell_angle_alpha 90.00
_cell_angle_beta 90.00
_cell_angle_gamma 120.00
loop_
_atom_site_label
_atom_site_fract_x
_atom_site_fract_y
_atom_site_fract_z
_atom_site_occupancy
Nd1 0.0000 0.0000 0.0000 1
Nd2 0.0000 0.0000 0.5000 1
Pb1 0.3333 0.6667 0.2242 1
Pb2 0.6667 0.3333 0.7242 1
Au1 0.3333 0.6667 0.8215 1
Au2 0.6667 0.3333 0.3215 1
```

Computed powder diffractogram
Compound: NdPbAuS3
Radiation: λ = 1.5418 Å (Cu Kα)
Structure: DFT lattice parameters and positions (GGA-PBE)

The 12 most intense peaks (2θ from 5° to 70°), sorted by position:
two_theta  intensity
9.28  91
13.05  34
23.70  29
24.03  44
26.28  58
27.74  100
32.64  38
35.30  67
35.79  96
36.42  34
44.35  41
45.87  31

Structure:
```
data_NdPbAuS3
_chemical_formula_sum 'Nd2 Pb2 Au2 S6'
_space_group_name_H-M_alt 'P 1'
_space_group_IT_number 1
_space_group_name_Hall 'P 1'
_cell_length_a 7.6804
_cell_length_b 4.0852
_cell_length_c 9.8848
_cell_angle_alpha 90.00
_cell_angle_beta 105.36
_cell_angle_gamma 90.00
loop_
_atom_site_label
_atom_site_fract_x
_atom_site_fract_y
_atom_site_fract_z
_atom_site_occupancy
Nd1 0.2002 0.2500 0.1606 1
Nd2 0.7998 0.7500 0.8394 1
Pb1 0.2274 0.7500 0.7000 1
Pb2 0.7726 0.2500 0.3000 1
Au1 0.3695 0.7500 0.4169 1
Au2 0.6305 0.2500 0.5831 1
S1 0.0713 0.2500 0.8652 1
S2 0.1900 0.2500 0.4545 1
S3 0.4629 0.7500 0.1899 1
S4 0.5371 0.2500 0.8101 1
S5 0.8100 0.7500 0.5455 1
S6 0.9287 0.7500 0.1348 1
```

Computed powder diffractogram
Compound: Nd2SmSi4Pd2Au2
Radiation: λ = 1.5418 Å (Cu Kα)
Structure: DFT lattice parameters and positions (GGA-PBE)

The 12 most intense peaks (2θ from 5° to 70°), sorted by position:
two_theta  intensity
21.12  13
27.78  21
33.04  27
33.18  100
38.91  16
42.34  21
42.91  20
45.52  16
54.73  13
61.86  13
64.33  11
68.12  13

Structure:
```
data_Nd2SmSi4Pd2Au2
_chemical_formula_sum 'Nd2 Sm1 Si4 Pd2 Au2'
_space_group_name_H-M_alt 'P 1'
_space_group_IT_number 1
_space_group_name_Hall 'P 1'
_cell_length_a 12.7512
_cell_length_b 12.7512
_cell_length_c 12.7512
_cell_angle_alpha 160.97
_cell_angle_beta 160.73
_cell_angle_gamma 27.21
loop_
_atom_site_label
_atom_site_fract_x
_atom_site_fract_y
_atom_site_fract_z
_atom_site_occupancy
Nd1 0.1487 0.1487 0.0000 1
Nd2 0.8513 0.8513 0.0000 1
Sm1 0.5000 0.0000 0.5000 1
Si1 0.0477 0.5477 0.5000 1
Si2 0.3024 0.3024 0.0000 1
Si3 0.6976 0.6976 0.0000 1
Si4 0.9523 0.4523 0.5000 1
Pd1 0.2504 0.7504 0.5000 1
Pd2 0.7496 0.2496 0.5000 1
Au1 0.4030 0.4030 0.0000 1
Au2 0.5970 0.5970 0.0000 1
```

Computed powder diffractogram
Compound: Nd4Pt3Au
Radiation: λ = 1.5418 Å (Cu Kα)
Structure: DFT lattice parameters and positions (GGA-PBE)

The 12 most intense peaks (2θ from 5° to 70°), sorted by position:
two_theta  intensity
19.53  21
30.94  70
33.33  38
34.70  100
38.59  93
38.67  43
39.92  20
51.87  22
52.16  22
56.71  14
67.30  15
69.83  16

Structure:
```
data_Nd4Pt3Au
_chemical_formula_sum 'Nd4 Pt3 Au1'
_space_group_name_H-M_alt 'P 1'
_space_group_IT_number 1
_space_group_name_Hall 'P 1'
_cell_length_a 5.7755
_cell_length_b 4.6691
_cell_length_c 7.3618
_cell_angle_alpha 90.00
_cell_angle_beta 90.15
_cell_angle_gamma 90.00
loop_
_atom_site_label
_atom_site_fract_x
_atom_site_fract_y
_atom_site_fract_z
_atom_site_occupancy
Nd1 0.0000 0.0000 0.0000 1
Nd2 0.2100 0.0000 0.5075 1
Nd3 0.4955 0.5000 0.8632 1
Nd4 0.7192 0.5000 0.3807 1
Pt1 0.0112 0.5000 0.7328 1
Pt2 0.2027 0.5000 0.2301 1
Pt3 0.6973 0.0000 0.6456 1
Au1 0.5063 0.0000 0.1474 1
```

Computed powder diffractogram
Compound: Nd3AuS6
Radiation: λ = 1.5418 Å (Cu Kα)
Structure: DFT lattice parameters and positions (GGA-PBE)

The 12 most intense peaks (2θ from 5° to 70°), sorted by position:
two_theta  intensity
23.29  100
24.62  93
25.38  78
25.64  62
26.27  81
32.94  30
35.32  30
36.41  58
38.56  45
40.64  32
45.73  30
46.19  40

Structure:
```
data_Nd3AuS6
_chemical_formula_sum 'Nd3 Au1 S6'
_space_group_name_H-M_alt 'P 1'
_space_group_IT_number 1
_space_group_name_Hall 'P 1'
_cell_length_a 4.4280
_cell_length_b 6.8340
_cell_length_c 8.5669
_cell_angle_alpha 90.63
_cell_angle_beta 102.35
_cell_angle_gamma 95.71
loop_
_atom_site_label
_atom_site_fract_x
_atom_site_fract_y
_atom_site_fract_z
_atom_site_occupancy
Nd1 0.0000 0.0000 0.0000 1
Nd2 0.3704 0.4562 0.7260 1
Nd3 0.6296 0.5438 0.2740 1
Au1 0.0000 0.0000 0.5000 1
S1 0.1441 0.3089 0.3894 1
S2 0.1705 0.8207 0.2999 1
S3 0.4532 0.7380 0.9783 1
S4 0.5468 0.2620 0.0217 1
S5 0.8295 0.1793 0.7001 1
S6 0.8559 0.6911 0.6106 1
```

Computed powder diffractogram
Compound: Nd3Sb4Au3
Radiation: λ = 1.5418 Å (Cu Kα)
Structure: DFT lattice parameters and positions (GGA-PBE)

The 12 most intense peaks (2θ from 5° to 70°), sorted by position:
two_theta  intensity
21.59  25
24.99  10
33.26  100
40.00  48
44.01  14
45.90  14
49.53  16
57.85  11
62.49  10
63.99  11
66.94  11
68.39  13

Structure:
```
data_Nd3Sb4Au3
_chemical_formula_sum 'Nd6 Sb8 Au6'
_space_group_name_H-M_alt 'P 1'
_space_group_IT_number 1
_space_group_name_Hall 'P 1'
_cell_length_a 8.7298
_cell_length_b 8.7298
_cell_length_c 8.7298
_cell_angle_alpha 109.47
_cell_angle_beta 109.47
_cell_angle_gamma 109.47
loop_
_atom_site_label
_atom_site_fract_x
_atom_site_fract_y
_atom_site_fract_z
_atom_site_occupancy
Nd1 0.1250 0.8750 0.2500 1
Nd2 0.2500 0.1250 0.8750 1
Nd3 0.3750 0.6250 0.7500 1
Nd4 0.6250 0.7500 0.3750 1
Nd5 0.7500 0.3750 0.6250 1
Nd6 0.8750 0.2500 0.1250 1
Sb1 0.0000 0.1752 0.5000 1
Sb2 0.0000 0.6752 0.5000 1
Sb3 0.1752 0.5000 0.0000 1
Sb4 0.3248 0.3248 0.3248 1
Sb5 0.5000 0.0000 0.1752 1
Sb6 0.5000 0.0000 0.6752 1
Sb7 0.6752 0.5000 0.0000 1
Sb8 0.8248 0.8248 0.8248 1
Au1 0.1250 0.7500 0.8750 1
Au2 0.2500 0.6250 0.3750 1
Au3 0.3750 0.2500 0.6250 1
Au4 0.6250 0.3750 0.2500 1
Au5 0.7500 0.8750 0.1250 1
Au6 0.8750 0.1250 0.7500 1
```